(1)
Sr3Np4O12: theoretical powder XRD pattern (λ = 1.5418 Å (Cu Kα)), based on a DFT-relaxed cell (PBE, Alexandria).
Lines closer than 0.1° are merged.

Largest 10 diffraction maxima, by intensity, 10 to 80 degrees two-theta:
29.54 deg, rel. 100, (2 2 0)
20.77 deg, rel. 47, (2 0 0)
52.41 deg, rel. 46, (4 2 2)
42.27 deg, rel. 27, (4 0 0)
47.54 deg, rel. 23, (4 0 2)
69.51 deg, rel. 19, (6 0 2)
61.31 deg, rel. 17, (4 4 0)
65.48 deg, rel. 10, (4 4 2)
36.39 deg, rel. 8, (2 2 2)
77.29 deg, rel. 5, (4 4 4)

Cell: 8.553 8.553 8.553 Å, 90.00 90.00 90.00°
Space group Im-3 (No. 204)
One atom of each set of equivalent atoms:
1 Sr 0.000 0.000 0.500 x6
2 Np 0.250 0.250 0.250 x8
3 O 0.000 0.296 0.222 x24

=====

(2)
Sr2NpO6: theoretical powder XRD pattern (λ = 1.5418 Å (Cu Kα)), based on a DFT-relaxed cell (PBE, Alexandria).
Lines closer than 0.1° are merged.

Largest 10 diffraction maxima, by intensity, 10 to 80 degrees two-theta:
18.02 deg, rel. 100, (1 0 1)
29.79 deg, rel. 63, (1 1 2)
29.35 deg, rel. 44, (2 0 0)
52.33 deg, rel. 34, (3 1 2)
34.66 deg, rel. 31, (2 1 1)
41.99 deg, rel. 19, (2 2 0)
35.41 deg, rel. 17, (1 0 3)
53.14 deg, rel. 17, (2 0 4)
46.63 deg, rel. 13, (2 1 3)
61.87 deg, rel. 12, (2 2 4)

Cell: 6.086 6.086 8.366 Å, 90.00 90.00 90.00°
Space group P4/mnc (No. 128)
One atom of each set of equivalent atoms:
1 Sr 0.000 0.500 0.250 x4
2 Np 0.000 0.000 0.000 x2
3 O 0.000 0.000 0.236 x4
4 O 0.128 0.302 0.000 x8

=====

(3)
SrY2NpO8: theoretical powder XRD pattern (λ = 1.5418 Å (Cu Kα)), based on a DFT-relaxed cell (PBE, Alexandria).
Lines closer than 0.1° are merged.

Largest 10 diffraction maxima, by intensity, 10 to 80 degrees two-theta:
28.63 deg, rel. 100, (0 2 1)
26.83 deg, rel. 62, (1 0 -1)
28.82 deg, rel. 54, (1 0 1)
11.50 deg, rel. 49, (0 1 0)
32.23 deg, rel. 43, (1 2 0)
46.03 deg, rel. 42, (1 2 -2)
48.57 deg, rel. 34, (1 2 2)
45.18 deg, rel. 22, (2 0 0)
20.29 deg, rel. 19, (0 1 1)
33.68 deg, rel. 19, (0 0 2)

Cell: 4.024 7.693 5.336 Å, 90.00 94.19 90.00°
Space group P2/m (No. 10)
One atom of each set of equivalent atoms:
1 Sr 0.000 0.000 0.000 x1
2 Y 0.500 0.262 0.500 x2
3 Np 0.000 0.500 0.000 x1
4 O 0.029 0.293 0.759 x4
5 O 0.458 0.500 0.228 x2
6 O 0.491 0.000 0.708 x2

=====

(4)
NpTa4O12: theoretical powder XRD pattern (λ = 1.5418 Å (Cu Kα)), based on a DFT-relaxed cell (PBE, Alexandria).
Lines closer than 0.1° are merged.

Largest 10 diffraction maxima, by intensity, 10 to 80 degrees two-theta:
32.58 deg, rel. 100, (2 0 2)
32.16 deg, rel. 50, (2 2 0)
22.59 deg, rel. 49, (2 0 0)
57.60 deg, rel. 43, (4 2 2)
16.12 deg, rel. 40, (1 0 1)
46.12 deg, rel. 30, (4 0 0)
58.39 deg, rel. 23, (2 2 4)
15.92 deg, rel. 21, (1 1 0)
23.16 deg, rel. 21, (0 0 2)
27.88 deg, rel. 19, (2 1 1)

Cell: 7.873 7.873 7.680 Å, 90.00 90.00 90.00°
Space group I4/mmm (No. 139)
One atom of each set of equivalent atoms:
1 Np 0.000 0.000 0.000 x2
2 Ta 0.250 0.250 0.250 x8
3 O 0.000 0.238 0.197 x16
4 O 0.216 0.216 0.500 x8

=====

(5)
Np4TaO10: theoretical powder XRD pattern (λ = 1.5418 Å (Cu Kα)), based on a DFT-relaxed cell (PBE, Alexandria).
Lines closer than 0.1° are merged.

Largest 10 diffraction maxima, by intensity, 10 to 80 degrees two-theta:
28.97 deg, rel. 100, (0 1 5)
33.61 deg, rel. 49, (1 0 10)
57.25 deg, rel. 46, (2 0 5)
48.18 deg, rel. 33, (1 1 0)
29.09 deg, rel. 33, (0 0 15)
48.35 deg, rel. 30, (0 1 20)
57.42 deg, rel. 14, (1 0 25)
77.97 deg, rel. 13, (1 2 5)
60.02 deg, rel. 11, (0 2 10)
70.65 deg, rel. 10, (2 0 20)

Cell: 3.7774 3.7774 46.0404 Å, 90.00 90.00 120.00°
Space group R-3m (No. 166, hexagonal axes)
One atom of each set of equivalent atoms:
1 Np 0.0000 0.0000 0.1022 x6
2 Np 0.0000 0.0000 0.2992 x6
3 Ta 0.0000 0.0000 0.5000 x3
4 O 0.0000 0.0000 0.0519 x6
5 O 0.0000 0.0000 0.1566 x6
6 O 0.0000 0.0000 0.2469 x6
7 O 0.0000 0.0000 0.3504 x6
8 O 0.0000 0.0000 0.4564 x6

=====

(6)
NpTa2O8: theoretical powder XRD pattern (λ = 1.5418 Å (Cu Kα)), based on a DFT-relaxed cell (PBE, Alexandria).
Lines closer than 0.1° are merged.

Largest 10 diffraction maxima, by intensity, 10 to 80 degrees two-theta:
26.56 deg, rel. 100, (1 1 1)
24.32 deg, rel. 71, (2 0 -1)
28.53 deg, rel. 68, (0 2 0)
23.27 deg, rel. 66, (1 1 -1)
34.88 deg, rel. 61, (3 1 0)
45.03 deg, rel. 37, (3 1 -2)
46.17 deg, rel. 29, (0 2 2)
37.83 deg, rel. 26, (2 2 -1)
42.14 deg, rel. 26, (2 2 1)
49.34 deg, rel. 24, (1 3 1)

Cell: 8.672 6.258 5.179 Å, 90.00 102.56 90.00°
Space group C2/m (No. 12)
One atom of each set of equivalent atoms:
1 Np 0.000 0.000 0.000 x2
2 Ta 0.172 0.500 0.462 x4
3 O 0.059 0.500 0.739 x4
4 O 0.150 0.000 0.793 x4
5 O 0.156 0.202 0.303 x8

=====

What did the fifth record say?
Np4TaO10: theoretical powder XRD pattern (λ = 1.5418 Å (Cu Kα)), based on a DFT-relaxed cell (PBE, Alexandria).
Lines closer than 0.1° are merged.

Largest 10 diffraction maxima, by intensity, 10 to 80 degrees two-theta:
28.97 deg, rel. 100, (0 1 5)
33.61 deg, rel. 49, (1 0 10)
57.25 deg, rel. 46, (2 0 5)
48.18 deg, rel. 33, (1 1 0)
29.09 deg, rel. 33, (0 0 15)
48.35 deg, rel. 30, (0 1 20)
57.42 deg, rel. 14, (1 0 25)
77.97 deg, rel. 13, (1 2 5)
60.02 deg, rel. 11, (0 2 10)
70.65 deg, rel. 10, (2 0 20)

Cell: 3.7774 3.7774 46.0404 Å, 90.00 90.00 120.00°
Space group R-3m (No. 166, hexagonal axes)
One atom of each set of equivalent atoms:
1 Np 0.0000 0.0000 0.1022 x6
2 Np 0.0000 0.0000 0.2992 x6
3 Ta 0.0000 0.0000 0.5000 x3
4 O 0.0000 0.0000 0.0519 x6
5 O 0.0000 0.0000 0.1566 x6
6 O 0.0000 0.0000 0.2469 x6
7 O 0.0000 0.0000 0.3504 x6
8 O 0.0000 0.0000 0.4564 x6